Simulated powder XRD pattern of TmTlNiS3 for CuKα, from a DFT-relaxed cell (GGA-PBE, OQMD).

Main lines, sorted by position (10 to 90 degrees two-theta):
Position (°2θ)	d (Å)	Rel. int.	hkl
10.16	8.702	29.4	0 0 1
16.95	5.230	25.7	1 0 1
20.41	4.351	33.3	0 0 2
21.43	4.146	33.9	2 0 0
24.50	3.633	65.5	2 0 -2
25.26	3.526	59.7	0 1 1
30.83	2.901	30.5	0 0 3
30.99	2.886	26.0	0 1 2
31.11	2.875	100.0	2 1 -1
31.69	2.824	60.3	2 1 0
47.13	1.928	26.7	0 2 0
50.27	1.815	34.0	4 0 -4

Structure:
```
data_TmTlNiS3
_chemical_formula_sum 'Tm2 Tl2 Ni2 S6'
_symmetry_space_group_name_H-M 'P 1 21/m 1'
_symmetry_Int_Tables_number 11
_cell_length_a 8.7456
_cell_length_b 3.8564
_cell_length_c 9.1785
_cell_angle_alpha 90.00
_cell_angle_beta 108.54
_cell_angle_gamma 90.00
loop_
_symmetry_equiv_pos_as_xyz
'x,y,z'
'-x,-y,-z'
'-x,y+1/2,-z'
'x,-y+1/2,z'
loop_
_atom_site_label
_atom_site_type_symbol
_atom_site_fract_x
_atom_site_fract_y
_atom_site_fract_z
_atom_site_occupancy
Tm1 Tm 0.1721 0.2500 0.1433 1
Tl1 Tl 0.2947 0.7500 0.7745 1
Ni1 Ni 0.4212 0.7500 0.4033 1
S1 S 0.0376 0.2500 0.8397 1
S2 S 0.3196 0.2500 0.4602 1
S3 S 0.3867 0.7500 0.1457 1
```